The following is a theoretical PXRD pattern of GaCuBr6. It was derived from a structure optimized by DFT (GGA-PBE), using Cu Kα, 1.54184 Å.

Structure:
```
8
Lattice="5.821 0.000 0.000 0.539 6.943 0.000 2.069 2.997 6.775" Properties=species:S:1:pos:R:3 pbc="T T T"
Ga 0.000 0.000 0.000
Cu 3.180 3.472 0.000
Br 1.445 6.683 2.161
Br 3.557 5.090 5.825
Br 4.385 8.265 5.526
Br 4.045 1.675 1.249
Br 4.873 4.851 0.950
Br 6.985 3.258 4.613
```

Top 10 peaks for 2θ from 5° to 70°, low angle first:
- 13.1 deg, I 1000, hkl 0 0 1
- 19.4 deg, I 236, hkl 1 1 1
- 23.1 deg, I 398, hkl 1 0 -1
- 23.8 deg, I 748, hkl -1 1 1
- 27.0 deg, I 235, hkl 1 0 2
- 29.0 deg, I 375, hkl 1 2 1
- 31.9 deg, I 250, hkl 1 -2 0
- 37.9 deg, I 283, hkl 1 2 3
- 39.5 deg, I 269, hkl 2 2 1
- 46.4 deg, I 267, hkl 0 2 -2